For Sr5NdPb6, DFT lattice parameters and positions (GGA-PBE) gives the simulated powder diffractogram in this record (CuKα).
Kinematic intensities with the Lorentz-polarization factor, no thermal factor.

The 10 most intense peaks (2θ = 10–90°), sorted by position:
| Position (°2θ) | d_spacing | I/Imax | index |
| --- | --- | --- | --- |
| 18.9 | 4.690 | 20 | 2 0 1 |
| 30.2 | 2.962 | 99 | 6 0 0 |
| 30.3 | 2.951 | 100 | 2 2 1 |
| 33.3 | 2.693 | 75 | 4 2 -1 |
| 38.4 | 2.345 | 27 | 4 0 2 |
| 47.9 | 1.898 | 13 | 0 4 0 |
| 51.7 | 1.769 | 42 | 8 2 1 |
| 57.5 | 1.604 | 26 | 10 2 -1 |
| 57.7 | 1.598 | 28 | 6 4 0 |
| 64.4 | 1.446 | 22 | 6 2 3 |

Structural model:
Unit cell a=17.934 b=7.592 c=6.050 alpha=90.00 beta=97.62 gamma=90.00
Space group C2/m (No. 12)
One atom of each set of equivalent atoms:
1 Sr 0.000 0.000 0.000 [2 per cell]
2 Sr 0.166 0.000 0.681 [4 per cell]
3 Sr 0.178 0.500 0.695 [4 per cell]
4 Nd 0.000 0.500 0.000 [2 per cell]
5 Pb 0.000 0.273 0.500 [4 per cell]
6 Pb 0.157 0.265 0.188 [8 per cell]